# 1
For NaCd2Ge, the GGA-PBE geometry in Alexandria gives the simulated powder diffraction line list in this record (Cu Kα, 1.54184 Å).

Structural model:
Cell: 4.4817 7.6393 5.8837 Å, 90.00 112.30 90.00°
Positions (direct):
Na 0.0685 0.2500 0.1360
Na 0.9315 0.7500 0.8640
Cd 0.3707 0.0487 0.7409
Cd 0.3707 0.4513 0.7409
Cd 0.6293 0.5487 0.2591
Cd 0.6293 0.9513 0.2591
Ge 0.2179 0.7500 0.4373
Ge 0.7821 0.2500 0.5627

Largest 10 diffraction maxima, low angle first, 5 to 70 degrees two-theta:
| d_spacing | I/Imax | hkl |
| --- | --- | --- |
| 4.433 | 363 | 0 1 1 |
| 4.144 | 710 | 1 0 -1 |
| 2.820 | 362 | 1 0 -2 |
| 2.809 | 1000 | 1 2 0 |
| 2.646 | 523 | 1 1 -2 |
| 2.269 | 628 | 1 2 1 |
| 2.241 | 513 | 2 0 -1 |
| 2.217 | 512 | 0 2 2 |
| 2.170 | 662 | 1 3 -1 |
| 1.576 | 337 | 2 2 -3 |

---

# 2
For NdDy3In3, the GGA-PBE geometry in Alexandria gives the simulated powder diffraction line list in this record (Cu Kα, 1.54184 Å).

Structural model:
Cell: 9.4553 9.4553 5.1722 Å, 90.00 90.00 120.00°
Positions (direct):
Nd 0.3333 0.6667 0.2500
Nd 0.6667 0.3333 0.7500
Dy 0.0006 0.2328 0.7500
Dy 0.2322 0.9994 0.7500
Dy 0.2328 0.2322 0.2500
Dy 0.7672 0.7678 0.7500
Dy 0.7678 0.0006 0.2500
Dy 0.9994 0.7672 0.2500
In 0.0686 0.6169 0.7500
In 0.3831 0.4517 0.7500
In 0.4517 0.0686 0.2500
In 0.5483 0.9314 0.7500
In 0.6169 0.5483 0.2500
In 0.9314 0.3831 0.2500

Largest 10 diffraction maxima, low angle first, 5 to 70 degrees two-theta:
| d_spacing | I/Imax | hkl |
| --- | --- | --- |
| 3.210 | 74 | 2 0 1 |
| 3.095 | 235 | 1 2 0 |
| 2.656 | 1000 | 1 2 1 |
| 2.586 | 234 | 0 0 2 |
| 1.984 | 133 | 1 2 2 |
| 1.878 | 61 | 3 2 0 |
| 1.787 | 134 | 4 1 0 |
| 1.506 | 203 | 1 2 3 |
| 1.483 | 61 | 2 4 1 |
| 1.470 | 143 | 4 1 2 |